Diffraction record for YPt2. The PXRD pattern is simulated, not measured: it uses a DFT-relaxed cell (GGA-PBE, the Materials Project) and copper Kα.

Structural model:
Cell: 5.450 5.450 5.450 Å, 60.00 60.00 60.00°
Atoms (fractional coordinates):
1 Y 0.125 0.125 0.125
2 Y 0.875 0.875 0.875
3 Pt 0.000 0.500 0.500
4 Pt 0.500 0.000 0.500
5 Pt 0.500 0.500 0.000
6 Pt 0.500 0.500 0.500

Principal peaks in the range 2θ = 10–80°, by angle:
2θ/deg  I_rel
19.95  43
32.87  10
38.75  100
40.55  66
47.17  19
51.70  11
58.69  4
62.63  33
68.92  32
72.57  9